Computed powder diffractogram of SrB2O4 for CuKα, from a cell relaxed with PBE.

Principal peaks in the range 2θ = 10–80°, in order of rising 2θ:
14.7°, intensity 51
25.3°, intensity 100
26.4°, intensity 29
27.4°, intensity 35
30.3°, intensity 33
33.0°, intensity 69
44.9°, intensity 51
45.9°, intensity 48

Cell and atoms:
```
data_SrB2O4
_cell_length_a 12.082
_cell_length_b 4.385
_cell_length_c 6.756
_cell_angle_alpha 90.00
_cell_angle_beta 90.00
_cell_angle_gamma 90.00
_space_group_name_H-M_alt 'P b c n'
_space_group_IT_number 60
loop_
_space_group_symop_operation_xyz
'x,y,z'
'-x,-y,-z'
'-x+1/2,-y+1/2,z+1/2'
'x+1/2,y+1/2,-z+1/2'
'x+1/2,-y+1/2,-z'
'-x+1/2,y+1/2,z'
'-x,y,-z+1/2'
'x,-y,z+1/2'
loop_
_atom_site_label
_atom_site_type_symbol
_atom_site_fract_x
_atom_site_fract_y
_atom_site_fract_z
_atom_site_occupancy
Sr1 Sr 0.000 0.235 0.250 1
B1 B 0.194 0.328 0.624 1
O1 O 0.090 0.236 0.591 1
O2 O 0.212 0.354 0.146 1
```

---

Computed powder diffractogram of Sr3YB3O9 for CuKα, from a cell relaxed with PBE.

Principal peaks in the range 2θ = 10–80°, in order of rising 2θ:
23.5°, intensity 33
28.6°, intensity 100
31.0°, intensity 39
35.2°, intensity 28
37.8°, intensity 20
43.9°, intensity 32
47.8°, intensity 21
52.4°, intensity 18

Cell and atoms:
```
data_Sr3YB3O9
_cell_length_a 12.5834
_cell_length_b 12.5834
_cell_length_c 9.5307
_cell_angle_alpha 90.00
_cell_angle_beta 90.00
_cell_angle_gamma 120.00
_space_group_name_H-M_alt 'R -3'
_space_group_IT_number 148
_space_group_name_Hall '-R 3'
loop_
_atom_site_label
_atom_site_type_symbol
_atom_site_fract_x
_atom_site_fract_y
_atom_site_fract_z
_atom_site_occupancy
Sr1 Sr 0.0413 0.4577 0.3188 1
Y1 Y 0.0000 0.0000 0.0000 1
Y2 Y 0.0000 0.0000 0.5000 1
B1 B 0.0520 0.2005 0.2406 1
O1 O 0.0188 0.7481 0.7930 1
O2 O 0.0581 0.8869 0.1392 1
O3 O 0.0644 0.1763 0.3812 1
```

---

Computed powder diffractogram of TbBO3 for CuKα, from a cell relaxed with PBE.

Principal peaks in the range 2θ = 10–80°, in order of rising 2θ:
20.7°, intensity 100
24.4°, intensity 77
24.8°, intensity 72
26.8°, intensity 63
32.2°, intensity 77
32.5°, intensity 75
34.1°, intensity 59
50.6°, intensity 56

Cell and atoms:
```
data_TbBO3
_cell_length_a 3.931
_cell_length_b 8.584
_cell_length_c 4.005
_cell_angle_alpha 90.00
_cell_angle_beta 114.17
_cell_angle_gamma 90.00
_space_group_name_H-M_alt 'P 1 m 1'
_space_group_IT_number 6
loop_
_space_group_symop_operation_xyz
'x,y,z'
'x,-y,z'
loop_
_atom_site_label
_atom_site_type_symbol
_atom_site_fract_x
_atom_site_fract_y
_atom_site_fract_z
_atom_site_occupancy
Tb1 Tb 0.000 0.250 0.000 1
B1 B 0.436 0.000 0.703 1
B2 B 0.696 0.500 0.425 1
O1 O 0.270 0.146 0.607 1
O2 O 0.605 0.355 0.256 1
O3 O 0.811 0.000 0.929 1
O4 O 0.905 0.500 0.795 1
```

---

Computed powder diffractogram of BTeO3 for CuKα, from a cell relaxed with PBE.

Principal peaks in the range 2θ = 10–80°, in order of rising 2θ:
25.1°, intensity 89
35.8°, intensity 100
44.3°, intensity 73
51.6°, intensity 40
58.2°, intensity 39
64.4°, intensity 37
76.0°, intensity 23

Cell and atoms:
```
data_BTeO3
_cell_length_a 3.543
_cell_length_b 3.543
_cell_length_c 3.543
_cell_angle_alpha 90.00
_cell_angle_beta 90.00
_cell_angle_gamma 90.00
_space_group_name_H-M_alt 'P m -3 m'
_space_group_IT_number 221
_space_group_name_Hall '-P 4 2 3'
loop_
_atom_site_label
_atom_site_type_symbol
_atom_site_fract_x
_atom_site_fract_y
_atom_site_fract_z
_atom_site_occupancy
B1 B 0.000 0.000 0.000 1
Te1 Te 0.500 0.500 0.500 1
O1 O 0.000 0.000 0.500 1
```